# 1
Starting from a crystal structure in the Materials Project, relaxed with PBE, the powder X-ray diffraction pattern of NaLa2RuO6 was calculated for Cu Ka.

Structural model:
```
20
Lattice="5.6398 0.0000 0.0000 0.0000 6.0168 0.0000 -5.5502 0.0000 8.0983" Properties=species:S:1:pos:R:3 pbc="T T T"
Na 0.0000 0.0000 0.0000
Na -2.7751 3.0084 4.0491
La -2.8550 0.4068 6.0461
La -0.0799 2.6016 1.9970
La 0.1694 3.4152 6.1013
La 2.9445 5.6100 2.0522
Ru 0.0448 0.0000 4.0491
Ru 2.8199 3.0084 0.0000
O -1.5892 1.0434 3.6373
O -4.3643 1.9650 7.6864
O -0.8969 4.3421 3.5033
O -3.6721 4.6832 7.5524
O 0.6739 0.2948 2.1896
O -2.1012 2.7137 6.2388
O 2.1907 3.3032 1.8595
O -0.5844 5.7221 5.9086
O 3.7616 1.3337 0.5459
O 0.9865 1.6748 4.5950
O 4.4538 4.0518 0.4119
O 1.6787 4.9735 4.4610
```

Main lines, low angle first (10 to 80 degrees two-theta):
2theta  intensity
18.37  30
21.60  20
24.18  19
29.70  38
30.86  100
31.11  99
31.73  71
44.01  35
44.76  28
49.53  36
55.82  24
56.27  35

***

# 2
Starting from a crystal structure in the Materials Project, relaxed with PBE, the powder X-ray diffraction pattern of Nb6RuRh was calculated for Cu Ka.

Structural model:
```
8
Lattice="5.1812 0.0000 0.0000 0.0000 5.1812 0.0000 0.0000 0.0000 5.1812" Properties=species:S:1:pos:R:3 pbc="T T T"
Nb 0.0000 1.2998 2.5906
Nb 0.0000 3.8813 2.5906
Nb 1.2998 2.5906 0.0000
Nb 2.5906 0.0000 1.2998
Nb 2.5906 0.0000 3.8813
Nb 3.8813 2.5906 0.0000
Ru 2.5906 2.5906 2.5906
Rh 0.0000 0.0000 0.0000
```

Main lines, low angle first (10 to 80 degrees two-theta):
2theta  intensity
34.63  38
38.87  100
42.75  83
62.05  7
64.89  21
67.66  41
73.05  16

***

# 3
Starting from a crystal structure in the Materials Project, relaxed with PBE, the powder X-ray diffraction pattern of Zn5B3Ir7 was calculated for Cu Ka.

Structural model:
```
30
Lattice="11.2476 0.0000 0.0000 0.0000 2.8798 0.0000 0.0000 0.0000 11.9132" Properties=species:S:1:pos:R:3 pbc="T T T"
Zn 0.5545 0.0000 1.5947
Zn 1.4894 0.0000 4.1122
Zn 2.8119 0.0000 9.6314
Zn 4.1344 0.0000 4.1122
Zn 5.0694 0.0000 1.5947
Zn 6.1783 0.0000 10.3185
Zn 7.1132 0.0000 7.8010
Zn 8.4357 0.0000 2.2818
Zn 9.7582 0.0000 7.8010
Zn 10.6932 0.0000 10.3185
B 1.3126 0.0000 7.0776
B 2.8119 0.0000 0.4000
B 4.3112 0.0000 7.0776
B 6.9364 0.0000 4.8357
B 8.4357 0.0000 11.5132
B 9.9350 0.0000 4.8357
Ir 0.0000 1.4399 5.9566
Ir 0.8789 1.4399 8.5973
Ir 1.4080 1.4399 11.4443
Ir 2.8119 1.4399 2.1268
Ir 2.8119 1.4399 6.2800
Ir 4.2158 1.4399 11.4443
Ir 4.7449 1.4399 8.5973
Ir 5.6238 1.4399 5.9566
Ir 6.5027 1.4399 3.3159
Ir 7.0318 1.4399 0.4690
Ir 8.4357 1.4399 5.6332
Ir 8.4357 1.4399 9.7864
Ir 9.8396 1.4399 0.4690
Ir 10.3687 1.4399 3.3159
```

Main lines, low angle first (10 to 80 degrees two-theta):
2theta  intensity
24.90  33
31.06  74
38.62  62
39.26  100
40.21  92
43.72  62
44.50  34
45.73  70
50.36  31
50.88  33
64.75  31
71.31  31

***

# 4
Starting from a crystal structure in the Materials Project, relaxed with PBE, the powder X-ray diffraction pattern of HoErAg2 was calculated for Cu Ka.

Structural model:
```
4
Lattice="0.0000 3.6194 3.6194 3.6194 0.0000 3.6194 3.6194 3.6194 0.0000" Properties=species:S:1:pos:R:3 pbc="T T T"
Ho 0.0000 0.0000 0.0000
Er 3.6194 3.6194 3.6194
Ag 1.8097 1.8097 1.8097
Ag 5.4292 5.4292 5.4292
```

Main lines, low angle first (10 to 80 degrees two-theta):
2theta  intensity
24.60  4
35.06  100
43.30  1
50.43  18
56.88  2
62.90  36
74.09  11
79.43  1

***

# 5
Starting from a crystal structure in the Materials Project, relaxed with PBE, the powder X-ray diffraction pattern of Li2SbPO2F6 was calculated for Cu Ka.

Structural model:
```
24
Lattice="6.0870 0.0000 0.0000 1.6651 7.6931 0.0000 0.6245 0.1337 8.1475" Properties=species:S:1:pos:R:3 pbc="T T T"
Li 0.0000 0.0000 0.0000
Li 1.7891 2.0728 3.7379
Li 3.5487 4.1529 5.1678
Li 6.1661 5.2792 3.7729
Sb 4.9917 6.6880 6.6180
Sb 4.7707 2.7585 2.1057
P 3.3244 6.2738 2.2448
P 6.2834 3.3940 6.8052
O 2.9564 6.4833 0.8160
O 4.4269 5.3476 2.6437
O 5.3463 4.1829 5.9512
O 5.6841 3.4431 0.1407
F 1.6707 3.6299 6.2864
F 1.9990 5.8713 3.0169
F 3.3510 5.9680 5.4304
F 3.5758 7.6928 2.9261
F 2.4616 0.8037 6.5749
F 3.0424 2.4767 1.1841
F 3.4831 2.6760 3.9853
F 5.8777 6.8932 4.8166
F 6.9405 7.1096 7.3577
F 5.4045 0.8799 1.6021
F 6.1036 1.8781 6.4528
F 6.7100 3.4399 3.5575
```

Main lines, low angle first (10 to 80 degrees two-theta):
2theta  intensity
14.93  53
15.71  20
15.97  50
16.85  50
19.39  79
20.75  64
21.82  66
23.10  100
23.87  20
28.69  36
30.23  23
36.58  19